The following is a calculated X-ray diffraction stick pattern of PuCuBiPt. It was derived from the PBE geometry in Alexandria, using Cu Ka.

Main lines, most intense first (10 to 90 degrees two-theta):
| d [Å] | 2θ/deg | I_rel | index |
| --- | --- | --- | --- |
| 2.458 | 36.56 | 100 | 2 2 0 |
| 1.419 | 65.82 | 37 | 4 2 2 |
| 1.738 | 52.67 | 18 | 4 0 0 |
| 1.099 | 89.08 | 17 | 6 2 0 |
| 1.229 | 77.71 | 12 | 4 4 0 |
| 3.476 | 25.63 | 8 | 2 0 0 |
| 4.013 | 22.15 | 7 | 1 1 1 |
| 2.096 | 43.16 | 4 | 3 1 1 |
| 1.554 | 59.47 | 4 | 4 2 0 |
| 2.007 | 45.18 | 3 | 2 2 2 |

Cell and atoms:
Unit cell a=6.952 b=6.952 c=6.952 alpha=90.00 beta=90.00 gamma=90.00
Element x y z (fractional)
Pu 0.000 0.000 0.000
Pu 0.000 0.500 0.500
Pu 0.500 0.000 0.500
Pu 0.500 0.500 0.000
Cu 0.250 0.250 0.750
Cu 0.250 0.750 0.250
Cu 0.750 0.250 0.250
Cu 0.750 0.750 0.750
Bi 0.000 0.000 0.500
Bi 0.000 0.500 0.000
Bi 0.500 0.000 0.000
Bi 0.500 0.500 0.500
Pt 0.250 0.250 0.250
Pt 0.250 0.750 0.750
Pt 0.750 0.250 0.750
Pt 0.750 0.750 0.250